Theoretical powder XRD pattern of InB6Rh12 for λ = 1.5418 Å (Cu Kα), from DFT lattice parameters and positions (PBE).
Peak positions follow from Bragg's law for the DFT cell and can differ from measured ones.

Structure:
```
InB6Rh12
1.0
5.1596 2.9789 2.6361
-5.1596 2.9789 2.6361
0.0000 -5.9578 2.6361
In B Rh
1 6 12
direct
0.0000 0.0000 0.0000
0.2402 0.2402 0.6747
0.2402 0.6747 0.2402
0.3253 0.7598 0.7598
0.6747 0.2402 0.2402
0.7598 0.3253 0.7598
0.7598 0.7598 0.3253
0.1339 0.5000 0.8661
0.1339 0.8661 0.5000
0.1833 0.4459 0.4459
0.4459 0.1833 0.4459
0.4459 0.4459 0.1833
0.5000 0.1339 0.8661
0.5000 0.8661 0.1339
0.5541 0.5541 0.8167
0.5541 0.8167 0.5541
0.8167 0.5541 0.5541
0.8661 0.1339 0.5000
0.8661 0.5000 0.1339
```

Largest 12 diffraction maxima, sorted by position, 2θ from 10° to 90°:
d/Å	Rel. int.
5.922	160
2.979	276
2.961	289
2.365	1000
2.347	549
2.100	188
1.974	471
1.945	157
1.720	227
1.629	221
1.260	167
1.159	135